[1]
For Li3AcAg9, a GGA-PBE-relaxed structure gives the computed X-ray powder pattern in this record (Cu Kα).
Lines closer than 0.1° are merged.

The 12 most intense peaks (2θ from 10° to 90°), in order of falling intensity:
2θ/deg, d (Å), intensity, index
37.47, 2.400, 1000, 1 5 0
37.63, 2.390, 733, 1 1 2
33.43, 2.681, 526, 2 0 -1
32.79, 2.731, 454, 1 3 -2
38.24, 2.354, 445, 1 1 -3
18.49, 4.798, 320, 0 2 1
26.44, 3.372, 248, 1 3 0
32.40, 2.763, 229, 1 3 1
67.86, 1.381, 217, 1 3 4
38.69, 2.327, 199, 2 2 -2
29.57, 3.021, 189, 0 2 2
26.94, 3.310, 173, 1 1 -2

Structural model:
```
data_Li3AcAg9
_cell_length_a 5.3621
_cell_length_b 13.6736
_cell_length_c 7.2042
_cell_angle_alpha 90.00
_cell_angle_beta 110.78
_cell_angle_gamma 90.00
_space_group_name_H-M_alt 'C 1 2/m 1'
_space_group_IT_number 12
_space_group_name_Hall '-C 2y'
loop_
_atom_site_label
_atom_site_type_symbol
_atom_site_fract_x
_atom_site_fract_y
_atom_site_fract_z
_atom_site_occupancy
Li1 Li 0.0000 0.0000 0.0000 1
Li2 Li 0.2500 0.2500 0.5000 1
Ac1 Ac 0.0000 0.5000 0.5000 1
Ag1 Ag 0.0000 0.5000 0.0000 1
Ag2 Ag 0.1016 0.1145 0.7181 1
Ag3 Ag 0.1715 0.3223 0.8502 1
```


[2]
For TlSiRh4, a GGA-PBE-relaxed structure gives the computed X-ray powder pattern in this record (Cu Kα).
Lines closer than 0.1° are merged.

The 12 most intense peaks (2θ from 10° to 90°), in order of falling intensity:
2θ/deg, d (Å), intensity, index
40.55, 2.225, 1000, 3 1 1
42.43, 2.130, 396, 2 2 2
65.75, 1.420, 319, 5 1 1
34.37, 2.609, 267, 2 2 0
72.45, 1.304, 245, 4 4 0
20.85, 4.260, 198, 1 1 1
24.12, 3.690, 184, 2 0 0
87.73, 1.112, 147, 6 2 2
86.48, 1.125, 115, 5 3 3
61.57, 1.506, 101, 4 2 2
55.71, 1.650, 76, 4 2 0
54.18, 1.693, 50, 3 3 1

Structural model:
```
data_TlSiRh4
_cell_length_a 7.3794
_cell_length_b 7.3794
_cell_length_c 7.3794
_cell_angle_alpha 90.00
_cell_angle_beta 90.00
_cell_angle_gamma 90.00
_space_group_name_H-M_alt 'F -4 3 m'
_space_group_IT_number 216
_space_group_name_Hall 'F -4 2 3'
loop_
_atom_site_label
_atom_site_type_symbol
_atom_site_fract_x
_atom_site_fract_y
_atom_site_fract_z
_atom_site_occupancy
Tl1 Tl 0.0000 0.0000 0.0000 1
Si1 Si 0.2500 0.2500 0.2500 1
Rh1 Rh 0.1246 0.1246 0.6246 1
```


[3]
For Cu2NiOs, a GGA-PBE-relaxed structure gives the computed X-ray powder pattern in this record (Cu Kα).
Lines closer than 0.1° are merged.

The 12 most intense peaks (2θ from 10° to 90°), in order of falling intensity:
2θ/deg, d (Å), intensity, index
42.59, 2.123, 1000, 1 1 2
27.21, 3.277, 313, 1 0 1
50.03, 1.823, 309, 2 0 0
88.80, 1.102, 262, 3 1 2
72.39, 1.305, 197, 2 0 4
48.69, 1.870, 168, 0 0 4
86.76, 1.122, 122, 1 1 6
23.79, 3.740, 95, 0 0 2
73.46, 1.289, 94, 2 2 0
43.99, 2.058, 90, 1 0 3
57.88, 1.593, 84, 2 1 1
34.80, 2.578, 73, 1 1 0

Structural model:
```
data_Cu2NiOs
_cell_length_a 3.6461
_cell_length_b 3.6461
_cell_length_c 7.4803
_cell_angle_alpha 90.00
_cell_angle_beta 90.00
_cell_angle_gamma 90.00
_space_group_name_H-M_alt 'I 4/m m m'
_space_group_IT_number 139
_space_group_name_Hall '-I 4 2'
loop_
_atom_site_label
_atom_site_type_symbol
_atom_site_fract_x
_atom_site_fract_y
_atom_site_fract_z
_atom_site_occupancy
Cu1 Cu 0.0000 0.5000 0.2500 1
Ni1 Ni 0.0000 0.0000 0.0000 1
Os1 Os 0.0000 0.0000 0.5000 1
```


[4]
For KY2Ti2S2O5, a GGA-PBE-relaxed structure gives the computed X-ray powder pattern in this record (Cu Kα).
Lines closer than 0.1° are merged.

The 12 most intense peaks (2θ from 10° to 90°), in order of falling intensity:
2θ/deg, d (Å), intensity, index
33.89, 2.645, 1000, 1 0 4
11.79, 7.507, 555, 0 0 2
60.70, 1.526, 232, 2 1 4
26.66, 3.343, 209, 1 0 2
48.78, 1.867, 198, 2 0 0
24.57, 3.624, 126, 1 0 1
60.53, 1.530, 124, 1 1 8
43.54, 2.079, 98, 1 0 6
81.49, 1.181, 95, 3 0 4
45.76, 1.983, 70, 1 1 5
60.82, 1.523, 57, 1 0 9
71.46, 1.320, 56, 2 2 0

Structural model:
```
data_KY2Ti2S2O5
_cell_length_a 3.7340
_cell_length_b 3.7340
_cell_length_c 15.0133
_cell_angle_alpha 90.00
_cell_angle_beta 90.00
_cell_angle_gamma 90.00
_space_group_name_H-M_alt 'P 4/m m m'
_space_group_IT_number 123
_space_group_name_Hall '-P 4 2'
loop_
_atom_site_label
_atom_site_type_symbol
_atom_site_fract_x
_atom_site_fract_y
_atom_site_fract_z
_atom_site_occupancy
K1 K 0.0000 0.0000 0.0000 1
Y1 Y 0.0000 0.0000 0.2423 1
Ti1 Ti 0.5000 0.5000 0.3788 1
S1 S 0.5000 0.5000 0.1504 1
O1 O 0.0000 0.5000 0.3334 1
O2 O 0.5000 0.5000 0.5000 1
```